The following is a calculated X-ray diffraction stick pattern of Tc5W4. It was derived from a crystal structure in Alexandria, relaxed with GGA-PBE, using Cu Kα (weighted mean of Kα1 and Kα2).

Peak list (8 most intense, 10 to 90 degrees two-theta, sorted by position)
(hkl), 2θ/deg, intensity
1 1 1, 28.4, 14
2 1 1, 39.2, 14
3 0 0, 40.2, 100
1 1 2, 41.0, 89
2 2 2, 58.8, 28
3 3 0, 73.1, 13
4 1 2, 73.6, 29
3 0 4, 84.5, 24

Cell lengths 7.7703, 7.7703, 5.3364 Å; angles 90.00, 90.00, 120.00 degrees
Space group P6_3/mcm (No. 193)
Asymmetric unit:
Tc (0.0000, 0.3114, 0.2500) [6 per cell]
Tc (0.3333, 0.6667, 0.0000) [4 per cell]
W (0.0000, 0.0000, 0.0000) [2 per cell]
W (0.0000, 0.3639, 0.7500) [6 per cell]


The following is a calculated X-ray diffraction stick pattern of Ac3AlGa3. It was derived from a crystal structure in Alexandria, relaxed with GGA-PBE, using Cu Kα (weighted mean of Kα1 and Kα2).

Peak list (8 most intense, 10 to 90 degrees two-theta, sorted by position)
(hkl), 2θ/deg, intensity
2 0 -4, 24.5, 39
3 1 -1, 29.4, 88
4 0 -2, 29.6, 61
1 1 3, 29.8, 57
1 1 -4, 30.4, 100
3 1 2, 36.1, 65
0 2 0, 38.7, 48
7 1 -3, 56.9, 31

Cell lengths 12.0906, 4.6531, 15.1805 Å; angles 90.00, 110.15, 90.00 degrees
Space group C2/m (No. 12)
Asymmetric unit:
Ac (0.0244, 0.0000, 0.3859) [4 per cell]
Ac (0.1070, 0.0000, 0.9221) [4 per cell]
Ac (0.2432, 0.0000, 0.2259) [4 per cell]
Al (0.2308, 0.5000, 0.3908) [4 per cell]
Ga (0.0378, 0.5000, 0.2318) [4 per cell]
Ga (0.0984, 0.5000, 0.0758) [4 per cell]
Ga (0.1576, 0.5000, 0.5426) [4 per cell]


The following is a calculated X-ray diffraction stick pattern of KGa3Sb3. It was derived from a crystal structure in Alexandria, relaxed with GGA-PBE, using Cu Kα (weighted mean of Kα1 and Kα2).

Peak list (8 most intense, 10 to 90 degrees two-theta, sorted by position)
(hkl), 2θ/deg, intensity
1 1 0, 16.2, 79
2 0 0, 23.0, 42
2 1 1, 28.3, 100
2 2 2, 40.4, 67
3 2 1, 43.8, 59
4 0 0, 47.0, 42
4 4 0, 68.7, 26
6 2 2, 82.9, 25

Cell lengths 7.7263, 7.7263, 7.7263 Å; angles 90.00, 90.00, 90.00 degrees
Space group Pm-3n (No. 223)
Asymmetric unit:
K (0.0000, 0.0000, 0.0000) [2 per cell]
Ga (0.0000, 0.2500, 0.5000) [6 per cell]
Sb (0.0000, 0.5000, 0.2500) [6 per cell]


The following is a calculated X-ray diffraction stick pattern of NbTe2Br5. It was derived from a crystal structure in Alexandria, relaxed with GGA-PBE, using Cu Kα (weighted mean of Kα1 and Kα2).

Peak list (8 most intense, 10 to 90 degrees two-theta, sorted by position)
(hkl), 2θ/deg, intensity
2 0 0, 16.4, 80
1 0 1, 17.4, 59
2 2 0, 23.3, 100
3 0 1, 29.2, 54
0 0 2, 30.8, 49
4 2 0, 37.2, 66
3 1 2, 40.8, 39
4 2 2, 49.1, 46

Cell lengths 10.7875, 10.8086, 5.7976 Å; angles 90.00, 90.00, 90.00 degrees
Space group Imm2 (No. 44)
Asymmetric unit:
Nb (0.0000, 0.0000, 0.0000) [2 per cell]
Te (0.0000, 0.5000, 0.3736) [2 per cell]
Te (0.0000, 0.5000, 0.9167) [2 per cell]
Br (0.0000, 0.0000, 0.4122) [2 per cell]
Br (0.1595, 0.1596, 0.9055) [8 per cell]


The following is a calculated X-ray diffraction stick pattern of LiCdGe2S6. It was derived from a crystal structure in Alexandria, relaxed with GGA-PBE, using Cu Kα (weighted mean of Kα1 and Kα2).

Peak list (8 most intense, 10 to 90 degrees two-theta, sorted by position)
(hkl), 2θ/deg, intensity
1 1 0, 10.6, 26
1 1 -1, 16.7, 26
3 1 0, 23.7, 71
2 2 -1, 24.1, 61
2 2 1, 27.4, 100
0 0 2, 28.8, 27
1 3 -3, 49.3, 28
5 3 1, 49.5, 51

Cell lengths 12.1308, 11.6093, 6.3172 Å; angles 90.00, 101.07, 90.00 degrees
Space group C2/c (No. 15)
Asymmetric unit:
Li (0.0000, 0.2264, 0.2500) [4 per cell]
Cd (0.0000, 0.3853, 0.7500) [4 per cell]
Ge (0.2041, 0.0838, 0.7760) [8 per cell]
S (0.1093, 0.4155, 0.1584) [8 per cell]
S (0.1337, 0.0752, 0.0820) [8 per cell]
S (0.1397, 0.2431, 0.5976) [8 per cell]


The following is a calculated X-ray diffraction stick pattern of AcSmAu4. It was derived from a crystal structure in Alexandria, relaxed with GGA-PBE, using Cu Kα (weighted mean of Kα1 and Kα2).

Peak list (8 most intense, 10 to 90 degrees two-theta, sorted by position)
(hkl), 2θ/deg, intensity
1 1 1, 31.9, 100
1 0 2, 32.5, 55
0 2 0, 36.5, 43
0 1 3, 38.1, 75
2 0 0, 48.4, 19
1 2 2, 49.7, 34
2 1 3, 63.2, 35
2 3 3, 86.6, 23

Cell lengths 3.7628, 4.9227, 8.0865 Å; angles 90.00, 90.00, 90.00 degrees
Space group Pmmm (No. 47)
Asymmetric unit:
Ac (0.0000, 0.0000, 0.0000) [1 per cell]
Sm (0.0000, 0.5000, 0.5000) [1 per cell]
Au (0.5000, 0.0000, 0.3330) [2 per cell]
Au (0.5000, 0.5000, 0.1755) [2 per cell]


The following is a calculated X-ray diffraction stick pattern of Ca2HgAs. It was derived from a crystal structure in Alexandria, relaxed with GGA-PBE, using Cu Kα (weighted mean of Kα1 and Kα2).

Peak list (8 most intense, 10 to 90 degrees two-theta, sorted by position)
(hkl), 2θ/deg, intensity
0 0 1, 12.6, 15
1 1 0, 23.6, 21
2 0 0, 24.6, 14
1 1 -1, 24.8, 28
0 0 2, 25.4, 15
2 0 -2, 28.8, 100
3 1 -1, 40.6, 27
1 1 -3, 41.7, 22

Cell lengths 7.7028, 4.4172, 7.4611 Å; angles 90.00, 109.71, 90.00 degrees
Space group C2/m (No. 12)
Asymmetric unit:
Ca (0.2344, 0.0000, 0.2051) [4 per cell]
Hg (0.0000, 0.0000, 0.5000) [2 per cell]
As (0.0000, 0.5000, 0.0000) [2 per cell]


The following is a calculated X-ray diffraction stick pattern of TaTePIrPtPb. It was derived from a crystal structure in Alexandria, relaxed with GGA-PBE, using Cu Kα (weighted mean of Kα1 and Kα2).

Peak list (8 most intense, 10 to 90 degrees two-theta, sorted by position)
(hkl), 2θ/deg, intensity
1 0 0, 25.7, 57
0 1 1, 27.2, 34
1 0 2, 31.4, 35
1 0 3, 37.4, 100
1 1 0, 45.3, 65
0 1 5, 52.8, 31
0 2 3, 60.1, 26
2 1 3, 78.4, 24

Cell lengths 4.0026, 4.0026, 10.0216 Å; angles 90.00, 90.00, 120.00 degrees
Space group P3m1 (No. 156)
Asymmetric unit:
Ta (0.0000, 0.0000, 0.0000) [1 per cell]
Te (0.6667, 0.3333, 0.4005) [1 per cell]
P (0.3333, 0.6667, 0.8833) [1 per cell]
Ir (0.3333, 0.6667, 0.1199) [1 per cell]
Pt (0.0000, 0.0000, 0.2708) [1 per cell]
Pb (0.0000, 0.0000, 0.6580) [1 per cell]